(1)
For GeSbRh2, a DFT-relaxed cell (PBE, Alexandria) gives the simulated PXRD pattern in this record (Cu Kα).
Kinematic intensities with the Lorentz-polarization factor, no thermal factor.

Top 8 peaks for 10 to 90 degrees two-theta, sorted by position:
27.81°, rel. 23
30.89°, rel. 44
32.00°, rel. 97
41.52°, rel. 68
42.39°, rel. 100
44.04°, rel. 20
47.64°, rel. 57
49.97°, rel. 24

Unit cell a=5.7083 b=14.6023 c=6.7176 alpha=90.00 beta=90.00 gamma=90.00
Element x y z (fractional)
Ge 0.1989 0.0572 0.0536
Ge 0.1989 0.4428 0.5536
Ge 0.3011 0.5572 0.0536
Ge 0.3011 0.9428 0.5536
Ge 0.6989 0.0572 0.4464
Ge 0.6989 0.4428 0.9464
Ge 0.8011 0.5572 0.4464
Ge 0.8011 0.9428 0.9464
Sb 0.2133 0.6873 0.5829
Sb 0.2133 0.8127 0.0829
Sb 0.2867 0.1873 0.5829
Sb 0.2867 0.3127 0.0829
Sb 0.7133 0.6873 0.9171
Sb 0.7133 0.8127 0.4171
Sb 0.7867 0.1873 0.9171
Sb 0.7867 0.3127 0.4171
Rh 0.0074 0.0509 0.7085
Rh 0.0074 0.4491 0.2085
Rh 0.0137 0.6629 0.2137
Rh 0.0137 0.8371 0.7137
Rh 0.4863 0.1629 0.2137
Rh 0.4863 0.3371 0.7137
Rh 0.4926 0.5509 0.7085
Rh 0.4926 0.9491 0.2085
Rh 0.5074 0.0509 0.7915
Rh 0.5074 0.4491 0.2915
Rh 0.5137 0.6629 0.2863
Rh 0.5137 0.8371 0.7863
Rh 0.9863 0.1629 0.2863
Rh 0.9863 0.3371 0.7863
Rh 0.9926 0.5509 0.7915
Rh 0.9926 0.9491 0.2915

(2)
For Mg5Sn2HgRh2, a DFT-relaxed cell (PBE, Alexandria) gives the simulated PXRD pattern in this record (Cu Kα).
Kinematic intensities with the Lorentz-polarization factor, no thermal factor.

Top 8 peaks for 10 to 90 degrees two-theta, sorted by position:
20.68°, rel. 62
29.45°, rel. 52
33.68°, rel. 27
36.26°, rel. 100
39.86°, rel. 20
42.10°, rel. 36
52.19°, rel. 21
58.52°, rel. 22

Unit cell a=9.5911 b=9.5911 c=4.2949 alpha=90.00 beta=90.00 gamma=90.00
Element x y z (fractional)
Mg 0.0000 0.5000 0.0000
Mg 0.0798 0.2073 0.0000
Mg 0.2073 0.9202 0.0000
Mg 0.2927 0.4202 0.0000
Mg 0.4202 0.7073 0.0000
Mg 0.5000 0.0000 0.0000
Mg 0.5798 0.2927 0.0000
Mg 0.7073 0.5798 0.0000
Mg 0.7927 0.0798 0.0000
Mg 0.9202 0.7927 0.0000
Sn 0.1701 0.6701 0.5000
Sn 0.3299 0.1701 0.5000
Sn 0.6701 0.8299 0.5000
Sn 0.8299 0.3299 0.5000
Hg 0.0000 0.0000 0.5000
Hg 0.5000 0.5000 0.5000
Rh 0.1203 0.3797 0.5000
Rh 0.3797 0.8797 0.5000
Rh 0.6203 0.1203 0.5000
Rh 0.8797 0.6203 0.5000

(3)
For Al4Pd5Pt4, a DFT-relaxed cell (PBE, Alexandria) gives the simulated PXRD pattern in this record (Cu Kα).
Kinematic intensities with the Lorentz-polarization factor, no thermal factor.

Top 8 peaks for 10 to 90 degrees two-theta, sorted by position:
12.88°, rel. 15
29.98°, rel. 29
37.00°, rel. 19
40.05°, rel. 100
44.23°, rel. 20
47.72°, rel. 20
67.09°, rel. 15
74.80°, rel. 20

Unit cell a=7.1699 b=7.1699 c=7.1699 alpha=94.68 beta=94.68 gamma=146.81
Element x y z (fractional)
Al 0.1159 0.7631 0.8790
Al 0.2369 0.1159 0.3528
Al 0.7631 0.8841 0.6472
Al 0.8841 0.2369 0.1210
Pd 0.0000 0.0000 0.0000
Pd 0.3165 0.5919 0.9084
Pd 0.4081 0.3165 0.7246
Pd 0.5919 0.6835 0.2754
Pd 0.6835 0.4081 0.0916
Pt 0.1049 0.3884 0.4933
Pt 0.3884 0.8951 0.2834
Pt 0.6116 0.1049 0.7166
Pt 0.8951 0.6116 0.5067

(4)
For PrTa2, a DFT-relaxed cell (PBE, Alexandria) gives the simulated PXRD pattern in this record (Cu Kα).
Kinematic intensities with the Lorentz-polarization factor, no thermal factor.

Top 8 peaks for 10 to 90 degrees two-theta, sorted by position:
18.76°, rel. 13
30.87°, rel. 20
36.37°, rel. 100
38.05°, rel. 48
58.54°, rel. 34
64.32°, rel. 31
76.19°, rel. 12
77.24°, rel. 19

Unit cell a=5.7935 b=5.7935 c=5.7935 alpha=60.00 beta=60.00 gamma=60.00
Element x y z (fractional)
Pr 0.1250 0.1250 0.1250
Pr 0.8750 0.8750 0.8750
Ta 0.0000 0.5000 0.5000
Ta 0.5000 0.0000 0.5000
Ta 0.5000 0.5000 0.0000
Ta 0.5000 0.5000 0.5000